Record 1
Diffraction record for Li4Fe3Co3Ni2O16. The powder X-ray diffraction pattern is calculated, not measured: it uses a PBE+U-relaxed structure and Cu Kα (weighted mean of Kα1 and Kα2).
Kinematic intensities with the Lorentz-polarization factor, no thermal factor.

Lattice parameters (Å, degrees): 10.005 5.767 9.560 90.00 90.27 90.00
Space group Cm (No. 8)
One atom of each set of equivalent atoms:
Li 0.000 0.000 0.000 [2 per cell]
Li 0.001 0.000 0.498 [2 per cell]
Li 0.175 0.500 0.107 [2 per cell]
Li 0.342 0.000 0.603 [2 per cell]
Fe 0.091 0.254 0.782 [4 per cell]
Fe 0.176 0.000 0.282 [2 per cell]
Co 0.337 0.500 0.785 [2 per cell]
Co 0.422 0.247 0.284 [4 per cell]
Ni 0.173 0.500 0.508 [2 per cell]
Ni 0.338 0.000 0.010 [2 per cell]
O 0.025 0.500 0.662 [2 per cell]
O 0.082 0.243 0.389 [4 per cell]
O 0.165 0.000 0.895 [2 per cell]
O 0.177 0.500 0.896 [2 per cell]
O 0.253 0.281 0.666 [4 per cell]
O 0.270 0.226 0.168 [4 per cell]
O 0.346 0.500 0.384 [2 per cell]
O 0.347 0.000 0.392 [2 per cell]
O 0.420 0.263 0.890 [4 per cell]
O 0.487 0.000 0.173 [2 per cell]
O 0.499 0.500 0.186 [2 per cell]
O 0.499 0.500 0.684 [2 per cell]

Main lines, by intensity (15° ≤ 2θ ≤ 90°):
| d/Å | I/Imax | h k l |
| --- | --- | --- |
| 4.430 | 100.0 | 2 0 -1 |
| 4.780 | 69.8 | 0 0 2 |
| 2.468 | 41.5 | 3 1 2 |
| 1.443 | 38.9 | 0 4 0 |
| 2.419 | 36.3 | 4 0 -1 |
| 1.970 | 30.1 | 2 2 -3 |
| 1.964 | 28.1 | 4 0 3 |
| 1.516 | 24.1 | 4 0 5 |
| 2.476 | 20.0 | 3 1 -2 |
| 2.691 | 19.3 | 2 0 -3 |


Record 2
Diffraction record for Co2C2O7. The powder X-ray diffraction pattern is calculated, not measured: it uses a PBE+U-relaxed structure and Cu Kα (weighted mean of Kα1 and Kα2).
Kinematic intensities with the Lorentz-polarization factor, no thermal factor.

Lattice parameters (Å, degrees): 8.5203 8.5203 8.2488 90.00 90.00 120.00
Space group P321 (No. 150)
One atom of each set of equivalent atoms:
Co 0.0000 0.0000 0.2156 [2 per cell]
Co 0.3333 0.6667 0.2410 [2 per cell]
Co 0.3333 0.6667 0.6755 [2 per cell]
C 0.0021 0.6631 0.7662 [6 per cell]
O 0.0000 0.0000 0.0000 [1 per cell]
O 0.0664 0.8300 0.7200 [6 per cell]
O 0.0953 0.5849 0.7600 [6 per cell]
O 0.1622 0.7381 0.1759 [6 per cell]
O 0.3333 0.6667 0.4592 [2 per cell]

Main lines, by intensity (15° ≤ 2θ ≤ 90°):
| d/Å | I/Imax | h k l |
| --- | --- | --- |
| 4.260 | 100.0 | 1 1 0 |
| 4.124 | 75.9 | 0 0 2 |
| 2.963 | 30.2 | 1 1 2 |
| 2.460 | 22.9 | 3 0 0 |
| 1.610 | 17.8 | 4 1 0 |
| 1.420 | 16.9 | 3 3 0 |
| 2.130 | 15.9 | 2 2 0 |
| 3.600 | 13.3 | 1 0 2 |
| 2.112 | 11.6 | 0 3 2 |
| 5.500 | 11.6 | 0 1 1 |


Record 3
Diffraction record for MgMn8O13F3. The powder X-ray diffraction pattern is calculated, not measured: it uses a PBE+U-relaxed structure and Cu Kα (weighted mean of Kα1 and Kα2).
Kinematic intensities with the Lorentz-polarization factor, no thermal factor.

Lattice parameters (Å, degrees): 5.729 6.636 7.114 93.15 95.05 91.21
Space group P1 (No. 1)
One atom of each set of equivalent atoms:
Mg 0.000 0.000 0.000 [1 per cell]
Mn 0.240 0.012 0.492 [1 per cell]
Mn 0.308 0.491 0.977 [1 per cell]
Mn 0.444 0.510 0.486 [1 per cell]
Mn 0.475 0.002 0.972 [1 per cell]
Mn 0.721 0.241 0.730 [1 per cell]
Mn 0.740 0.753 0.251 [1 per cell]
Mn 0.915 0.276 0.276 [1 per cell]
Mn 0.960 0.738 0.703 [1 per cell]
O 0.192 0.299 0.450 [1 per cell]
O 0.218 0.724 0.520 [1 per cell]
O 0.221 0.781 0.925 [1 per cell]
O 0.258 0.212 0.013 [1 per cell]
O 0.486 0.040 0.711 [1 per cell]
O 0.490 0.546 0.222 [1 per cell]
O 0.495 0.454 0.753 [1 per cell]
O 0.675 0.295 0.475 [1 per cell]
O 0.707 0.708 0.514 [1 per cell]
O 0.714 0.804 0.984 [1 per cell]
O 0.732 0.199 0.011 [1 per cell]
O 0.959 0.031 0.707 [1 per cell]
O 0.976 0.986 0.287 [1 per cell]
F 0.463 0.971 0.245 [1 per cell]
F 0.977 0.452 0.778 [1 per cell]
F 0.990 0.532 0.178 [1 per cell]

Main lines, by intensity (15° ≤ 2θ ≤ 90°):
| d/Å | I/Imax | h k l |
| --- | --- | --- |
| 2.895 | 100.0 | 1 -2 0 |
| 3.134 | 58.3 | 1 0 -2 |
| 3.776 | 54.1 | -1 1 1 |
| 3.498 | 52.7 | 1 1 1 |
| 2.832 | 41.9 | 1 2 0 |
| 1.719 | 35.1 | -2 3 1 |
| 2.523 | 33.9 | 2 1 -1 |
| 1.769 | 32.9 | 0 0 4 |
| 1.814 | 29.2 | -2 1 3 |
| 1.656 | 25.5 | 0 4 0 |


Record 4
Diffraction record for PWO2. The powder X-ray diffraction pattern is calculated, not measured: it uses a PBE+U-relaxed structure and Cu Kα (weighted mean of Kα1 and Kα2).
Kinematic intensities with the Lorentz-polarization factor, no thermal factor.

Lattice parameters (Å, degrees): 6.172 6.172 11.081 90.00 90.00 90.00
Space group I4_1/amd (No. 141, origin choice 2)
One atom of each set of equivalent atoms:
P 0.000 0.000 0.000 [8 per cell]
W 0.000 0.000 0.500 [8 per cell]
O 0.000 0.053 0.163 [16 per cell]

Main lines, by intensity (15° ≤ 2θ ≤ 90°):
| d/Å | I/Imax | h k l |
| --- | --- | --- |
| 2.696 | 100.0 | 2 0 2 |
| 5.392 | 66.2 | 1 0 1 |
| 2.182 | 39.1 | 2 2 0 |
| 3.169 | 33.0 | 1 0 3 |
| 1.585 | 28.4 | 2 0 6 |
| 1.714 | 26.2 | 2 2 4 |
| 2.770 | 25.3 | 0 0 4 |
| 1.339 | 24.9 | 4 2 2 |
| 2.211 | 22.8 | 2 1 3 |
| 2.678 | 20.1 | 2 1 1 |